# 1
Starting from a crystal structure in Alexandria, relaxed with GGA-PBE, the PXRD pattern of Pm6Ni2Ir was calculated for λ = 1.5418 Å (Cu Kα).
Neutral-atom scattering factors, no anomalous dispersion.

Structural model:
Lattice parameters (Å, degrees): 8.434 8.434 8.434 110.74 109.25 108.43
Sites, in units of the cell vectors:
Pm (0.061, 0.820, 0.241)
Pm (0.168, 0.313, 0.481)
Pm (0.168, 0.687, 0.855)
Pm (0.328, 0.092, 0.763)
Pm (0.328, 0.565, 0.237)
Pm (0.421, 0.180, 0.241)
Pm (0.579, 0.820, 0.759)
Pm (0.672, 0.435, 0.763)
Pm (0.672, 0.908, 0.237)
Pm (0.832, 0.313, 0.145)
Pm (0.832, 0.687, 0.519)
Pm (0.939, 0.180, 0.759)
Ni (0.174, 0.674, 0.500)
Ni (0.382, 0.500, 0.882)
Ni (0.618, 0.500, 0.118)
Ni (0.826, 0.326, 0.500)
Ir (0.000, 0.000, 0.000)
Ir (0.500, 0.000, 0.500)

Main lines, by angle (10° ≤ 2θ ≤ 80°):
3.114 Å, I = 23; 3.091 Å, I = 26; 3.040 Å, I = 46; 2.810 Å, I = 100; 2.623 Å, I = 84; 2.612 Å, I = 63; 2.598 Å, I = 34; 2.396 Å, I = 34; 2.300 Å, I = 23; 1.568 Å, I = 31

# 2
Starting from a crystal structure in Alexandria, relaxed with GGA-PBE, the PXRD pattern of Nb4Tc3Rh was calculated for λ = 1.5418 Å (Cu Kα).
Neutral-atom scattering factors, no anomalous dispersion.

Structural model:
Lattice parameters (Å, degrees): 3.219 4.513 8.992 90.00 90.00 90.00
Sites, in units of the cell vectors:
Nb (0.000, 0.000, 0.000)
Nb (0.000, 0.000, 0.500)
Nb (0.000, 0.500, 0.245)
Nb (0.000, 0.500, 0.755)
Tc (0.500, 0.000, 0.254)
Tc (0.500, 0.000, 0.746)
Tc (0.500, 0.500, 0.000)
Rh (0.500, 0.500, 0.500)

Main lines, by angle (10° ≤ 2θ ≤ 80°):
2.264 Å, I = 100; 2.257 Å, I = 25; 2.248 Å, I = 24; 1.609 Å, I = 8; 1.593 Å, I = 16; 1.310 Å, I = 8; 1.309 Å, I = 8; 1.304 Å, I = 16; 1.301 Å, I = 16

# 3
Starting from a crystal structure in Alexandria, relaxed with GGA-PBE, the PXRD pattern of Rb5H2F3 was calculated for λ = 1.5418 Å (Cu Kα).
Neutral-atom scattering factors, no anomalous dispersion.

Structural model:
Lattice parameters (Å, degrees): 7.673 7.673 10.634 124.23 124.23 31.13
Sites, in units of the cell vectors:
Rb (0.000, 0.000, 0.000)
Rb (0.092, 0.092, 0.412)
Rb (0.300, 0.300, 0.192)
Rb (0.700, 0.700, 0.808)
Rb (0.908, 0.908, 0.588)
H (0.328, 0.328, 0.731)
H (0.672, 0.672, 0.269)
F (0.114, 0.114, 0.874)
F (0.500, 0.500, 0.500)
F (0.886, 0.886, 0.126)

Main lines, by angle (10° ≤ 2θ ≤ 80°):
3.895 Å, I = 65; 3.833 Å, I = 51; 3.548 Å, I = 100; 3.516 Å, I = 97; 3.322 Å, I = 48; 3.050 Å, I = 96; 2.811 Å, I = 98; 2.330 Å, I = 48; 2.059 Å, I = 66; 1.776 Å, I = 48

# 4
Starting from a crystal structure in Alexandria, relaxed with GGA-PBE, the PXRD pattern of Cs2RbBiSb2 was calculated for λ = 1.5418 Å (Cu Kα).
Neutral-atom scattering factors, no anomalous dispersion.

Structural model:
Lattice parameters (Å, degrees): 10.509 10.509 10.509 130.76 68.57 135.44
Sites, in units of the cell vectors:
Cs (0.178, 0.213, 0.391)
Cs (0.322, 0.713, 0.035)
Cs (0.678, 0.287, 0.965)
Cs (0.822, 0.787, 0.609)
Rb (0.250, 0.750, 0.500)
Rb (0.750, 0.250, 0.500)
Bi (0.250, 0.250, 0.000)
Bi (0.750, 0.750, 0.000)
Sb (0.099, 0.799, 0.897)
Sb (0.401, 0.299, 0.700)
Sb (0.599, 0.701, 0.300)
Sb (0.901, 0.201, 0.103)

Main lines, by angle (10° ≤ 2θ ≤ 80°):
8.683 Å, I = 51; 7.819 Å, I = 76; 3.909 Å, I = 54; 3.621 Å, I = 46; 3.495 Å, I = 91; 3.080 Å, I = 71; 2.947 Å, I = 100; 2.935 Å, I = 56; 2.333 Å, I = 25; 2.192 Å, I = 36

# 5
Starting from a crystal structure in Alexandria, relaxed with GGA-PBE, the PXRD pattern of CaYb3In2Ge4 was calculated for λ = 1.5418 Å (Cu Kα).
Neutral-atom scattering factors, no anomalous dispersion.

Structural model:
Lattice parameters (Å, degrees): 4.364 7.370 7.370 89.75 90.00 90.00
Sites, in units of the cell vectors:
Ca (0.000, 0.000, 0.000)
Yb (0.000, 0.350, 0.350)
Yb (0.000, 0.500, 0.849)
Yb (0.000, 0.849, 0.500)
In (0.500, 0.175, 0.676)
In (0.500, 0.676, 0.175)
Ge (0.500, 0.055, 0.302)
Ge (0.500, 0.302, 0.055)
Ge (0.500, 0.551, 0.551)
Ge (0.500, 0.795, 0.795)

Main lines, by angle (10° ≤ 2θ ≤ 80°):
7.370 Å, I = 13; 3.348 Å, I = 13; 3.293 Å, I = 10; 2.815 Å, I = 53; 2.630 Å, I = 100; 2.333 Å, I = 20; 2.327 Å, I = 18; 2.182 Å, I = 23; 1.593 Å, I = 23; 1.331 Å, I = 12

# 6
Starting from a crystal structure in Alexandria, relaxed with GGA-PBE, the PXRD pattern of Co7Ni3 was calculated for λ = 1.5418 Å (Cu Kα).
Neutral-atom scattering factors, no anomalous dispersion.

Structural model:
Lattice parameters (Å, degrees): 3.544 8.868 8.868 23.05 90.00 90.00
Sites, in units of the cell vectors:
Co (0.000, 0.000, 0.000)
Co (0.000, 0.200, 0.200)
Co (0.000, 0.400, 0.400)
Co (0.000, 0.601, 0.601)
Co (0.500, 0.100, 0.100)
Co (0.500, 0.301, 0.301)
Co (0.500, 0.701, 0.701)
Ni (0.000, 0.801, 0.801)
Ni (0.500, 0.500, 0.500)
Ni (0.500, 0.900, 0.900)

Main lines, by angle (10° ≤ 2θ ≤ 80°):
2.033 Å, I = 100; 1.772 Å, I = 32; 1.738 Å, I = 15; 1.253 Å, I = 9; 1.241 Å, I = 17

# 7
Starting from a crystal structure in Alexandria, relaxed with GGA-PBE, the PXRD pattern of Li3Cr4S8 was calculated for λ = 1.5418 Å (Cu Kα).
Neutral-atom scattering factors, no anomalous dispersion.

Structural model:
Lattice parameters (Å, degrees): 7.615 7.615 7.615 54.34 54.34 54.34
Sites, in units of the cell vectors:
Li (0.004, 0.498, 0.498)
Li (0.498, 0.004, 0.498)
Li (0.498, 0.498, 0.004)
Cr (0.135, 0.654, 0.654)
Cr (0.142, 0.142, 0.142)
Cr (0.654, 0.135, 0.654)
Cr (0.654, 0.654, 0.135)
S (0.375, 0.375, 0.879)
S (0.375, 0.879, 0.375)
S (0.410, 0.410, 0.410)
S (0.411, 0.907, 0.907)
S (0.879, 0.375, 0.375)
S (0.883, 0.883, 0.883)
S (0.907, 0.411, 0.907)
S (0.907, 0.907, 0.411)

Main lines, by angle (10° ≤ 2θ ≤ 80°):
6.471 Å, I = 100; 2.976 Å, I = 22; 2.559 Å, I = 70; 2.040 Å, I = 26; 1.890 Å, I = 22; 1.739 Å, I = 24; 1.679 Å, I = 13; 1.523 Å, I = 11; 1.438 Å, I = 10; 1.323 Å, I = 6

# 8
Starting from a crystal structure in Alexandria, relaxed with GGA-PBE, the PXRD pattern of Tl5Hg2Sb was calculated for λ = 1.5418 Å (Cu Kα).
Neutral-atom scattering factors, no anomalous dispersion.

Structural model:
Lattice parameters (Å, degrees): 9.124 9.124 9.124 125.19 125.19 81.23
Sites, in units of the cell vectors:
Tl (0.000, 0.000, 0.000)
Tl (0.003, 0.503, 0.190)
Tl (0.187, 0.997, 0.500)
Tl (0.313, 0.813, 0.810)
Tl (0.497, 0.687, 0.500)
Tl (0.500, 0.500, 0.000)
Tl (0.503, 0.313, 0.500)
Tl (0.687, 0.187, 0.190)
Tl (0.813, 0.003, 0.500)
Tl (0.997, 0.497, 0.810)
Hg (0.143, 0.357, 0.500)
Hg (0.357, 0.857, 0.215)
Hg (0.643, 0.143, 0.785)
Hg (0.857, 0.643, 0.500)
Sb (0.250, 0.250, 0.000)
Sb (0.750, 0.750, 0.000)

Main lines, by angle (10° ≤ 2θ ≤ 80°):
2.992 Å, I = 7; 2.914 Å, I = 100; 2.672 Å, I = 9; 2.656 Å, I = 46; 2.309 Å, I = 12; 1.864 Å, I = 11; 1.743 Å, I = 14; 1.503 Å, I = 8; 1.478 Å, I = 20; 1.424 Å, I = 10